Diffraction record for RbHC4O4. The powder diffractogram is theoretical, not measured: it uses the GGA-PBE geometry in the Materials Project and Cu Kα X-rays.
Intensities are scaled so that the largest is 100.

Peak list (8 most intense, 10 to 90 degrees two-theta, low angle first)
- d = 4.152 Å, intensity 100
- d = 4.065 Å, intensity 80
- d = 3.728 Å, intensity 82
- d = 3.636 Å, intensity 95
- d = 3.389 Å, intensity 85
- d = 2.839 Å, intensity 72
- d = 2.454 Å, intensity 71
- d = 2.284 Å, intensity 72

```
data_RbHC4O4
_symmetry_space_group_name_H-M 'P 1 21/c 1'
_symmetry_Int_Tables_number 14
_cell_length_a 4.438
_cell_length_b 16.177
_cell_length_c 8.458
_cell_angle_alpha 90.00
_cell_angle_beta 100.94
_cell_angle_gamma 90.00
loop_
_symmetry_equiv_pos_as_xyz
'x,y,z'
'-x,-y,-z'
'-x,y+1/2,-z+1/2'
'x,-y+1/2,z+1/2'
loop_
_atom_site_label
_atom_site_type_symbol
_atom_site_fract_x
_atom_site_fract_y
_atom_site_fract_z
Rb1 Rb 0.206 0.066 0.259
H1 H 0.000 0.238 0.521
C1 C 0.354 0.210 0.701
C2 C 0.371 0.120 0.717
C3 C 0.384 0.631 0.635
C4 C 0.399 0.722 0.664
O1 O 0.190 0.236 0.106
O2 O 0.238 0.583 0.535
O3 O 0.246 0.059 0.640
O4 O 0.254 0.714 0.100
```

***

Diffraction record for RbHCO3. The powder diffractogram is theoretical, not measured: it uses the GGA-PBE geometry in the Materials Project and Cu Kα X-rays.
Intensities are scaled so that the largest is 100.

Peak list (8 most intense, 10 to 90 degrees two-theta, low angle first)
- d = 4.549 Å, intensity 39
- d = 4.075 Å, intensity 36
- d = 3.279 Å, intensity 100
- d = 3.034 Å, intensity 53
- d = 2.835 Å, intensity 35
- d = 2.757 Å, intensity 41
- d = 2.701 Å, intensity 34
- d = 2.627 Å, intensity 40

```
data_RbHCO3
_symmetry_space_group_name_H-M 'C 1 2/c 1'
_symmetry_Int_Tables_number 15
_cell_length_a 9.338
_cell_length_b 6.871
_cell_length_c 11.297
_cell_angle_alpha 90.00
_cell_angle_beta 106.97
_cell_angle_gamma 90.00
loop_
_symmetry_equiv_pos_as_xyz
'x,y,z'
'-x,-y,-z'
'-x,y,-z+1/2'
'x,-y,z+1/2'
'x+1/2,y+1/2,z'
'-x+1/2,-y+1/2,-z'
'-x+1/2,y+1/2,-z+1/2'
'x+1/2,-y+1/2,z+1/2'
loop_
_atom_site_label
_atom_site_type_symbol
_atom_site_fract_x
_atom_site_fract_y
_atom_site_fract_z
Rb1 Rb 0.139 0.165 0.135
H1 H 0.025 0.396 0.649
C1 C 0.228 0.316 0.550
O1 O 0.041 0.486 0.817
O2 O 0.119 0.255 0.586
O3 O 0.197 0.031 0.413
```

***

Diffraction record for RbU2H5C4O15. The powder diffractogram is theoretical, not measured: it uses the GGA-PBE geometry in the Materials Project and Cu Kα X-rays.
Intensities are scaled so that the largest is 100.

Peak list (8 most intense, 10 to 90 degrees two-theta, low angle first)
- d = 7.854 Å, intensity 69
- d = 5.153 Å, intensity 70
- d = 4.753 Å, intensity 32
- d = 4.654 Å, intensity 75
- d = 4.175 Å, intensity 100
- d = 3.871 Å, intensity 26
- d = 3.600 Å, intensity 61
- d = 2.976 Å, intensity 41

```
data_RbU2H5C4O15
_symmetry_space_group_name_H-M 'P 1 21/m 1'
_symmetry_Int_Tables_number 11
_cell_length_a 5.732
_cell_length_b 13.941
_cell_length_c 9.570
_cell_angle_alpha 90.00
_cell_angle_beta 96.62
_cell_angle_gamma 90.00
loop_
_symmetry_equiv_pos_as_xyz
'x,y,z'
'-x,-y,-z'
'-x,y+1/2,-z'
'x,-y+1/2,z'
loop_
_atom_site_label
_atom_site_type_symbol
_atom_site_fract_x
_atom_site_fract_y
_atom_site_fract_z
Rb1 Rb 0.144 0.250 0.098
U1 U 0.285 0.592 0.264
H1 H 0.119 0.250 0.447
H2 H 0.295 0.694 0.681
H3 H 0.366 0.250 0.386
H4 H 0.469 0.250 0.619
C1 C 0.015 0.547 0.543
C2 C 0.459 0.050 0.019
O1 O 0.019 0.628 0.157
O2 O 0.070 0.049 0.342
O3 O 0.124 0.615 0.490
O4 O 0.288 0.250 0.471
O5 O 0.329 0.750 0.743
O6 O 0.340 0.055 0.122
O7 O 0.389 0.750 0.309
O8 O 0.443 0.057 0.636
O9 O 0.483 0.619 0.055
```